1.
The following is a simulated powder diffractogram of LaMg6V. It was derived from DFT lattice parameters and positions (GGA-PBE), using a wavelength of 1.5418 Å.
Intensities are scaled so that the largest is 100.

Peak list (10 most intense, 10° ≤ 2θ ≤ 90°, in order of rising 2θ)
- 15.30 deg, I 43
- 15.77 deg, I 26
- 17.02 deg, I 34
- 22.96 deg, I 33
- 23.28 deg, I 30
- 31.85 deg, I 35
- 34.43 deg, I 37
- 35.47 deg, I 55
- 36.33 deg, I 100
- 47.60 deg, I 22

Atomic structure:
```
LaMg6V
1.0
5.209 0.000 0.000
0.000 3.214 5.791
0.000 -3.214 5.791
La Mg V
1 6 1
Direct
0.000 0.000 0.000
0.000 0.007 0.497
0.000 0.497 0.007
0.500 0.172 0.172
0.500 0.183 0.648
0.500 0.648 0.183
0.500 0.657 0.657
0.000 0.497 0.497
```


2.
The following is a simulated powder diffractogram of Pr4Ir. It was derived from DFT lattice parameters and positions (GGA-PBE), using a wavelength of 1.5418 Å.
Intensities are scaled so that the largest is 100.

Peak list (10 most intense, 10° ≤ 2θ ≤ 90°, in order of rising 2θ)
- 22.16 deg, I 34
- 26.04 deg, I 13
- 27.22 deg, I 100
- 31.54 deg, I 21
- 34.45 deg, I 32
- 41.34 deg, I 27
- 45.20 deg, I 62
- 53.57 deg, I 37
- 83.46 deg, I 16
- 89.30 deg, I 14

Atomic structure:
```
Pr4Ir
1.0
0.000 5.674 5.674
5.674 0.000 5.674
5.674 5.674 0.000
Pr Ir
8 2
Direct
0.212 0.763 0.763
0.237 0.237 0.237
0.237 0.237 0.788
0.237 0.788 0.237
0.763 0.212 0.763
0.763 0.763 0.212
0.763 0.763 0.763
0.788 0.237 0.237
0.375 0.375 0.375
0.625 0.625 0.625
```